Starting from the GGA-PBE geometry in the Materials Project, the XRD peak list of TePb2O5 was calculated for Cu Kα (weighted mean of Kα1 and Kα2).
Lines closer than 0.1° are merged.

```
data_TePb2O5
_chemical_formula_sum 'Te4 Pb8 O20'
_cell_length_a 13.3052
_cell_length_b 5.8403
_cell_length_c 7.6595
_cell_angle_alpha 90.00
_cell_angle_beta 124.05
_cell_angle_gamma 90.00
_symmetry_space_group_name_H-M 'C 1 c 1'
_symmetry_Int_Tables_number 9
loop_
_symmetry_equiv_pos_as_xyz
'x,y,z'
'x,-y,z+1/2'
'x+1/2,y+1/2,z'
'x+1/2,-y+1/2,z+1/2'
loop_
_atom_site_label
_atom_site_type_symbol
_atom_site_fract_x
_atom_site_fract_y
_atom_site_fract_z
Te1 Te 0.0000 0.0043 0.0000
Pb1 Pb 0.1556 0.4969 0.9941
Pb2 Pb 0.3403 0.0155 0.9935
O1 O 0.0006 0.1287 0.2510
O2 O 0.0576 0.2936 0.6304
O3 O 0.1651 0.1155 0.1273
O4 O 0.3344 0.3925 0.8666
O5 O 0.4446 0.1981 0.3711
```

Peak list (12 most intense, 2θ from 5° to 70°, by angle)
d = 3.173 Å, I = 51
d = 3.110 Å, I = 100
d = 3.062 Å, I = 92
d = 2.920 Å, I = 40
d = 2.217 Å, I = 20
d = 2.149 Å, I = 38
d = 1.829 Å, I = 23
d = 1.800 Å, I = 28
d = 1.766 Å, I = 17
d = 1.720 Å, I = 19
d = 1.712 Å, I = 20
d = 1.555 Å, I = 14


Starting from the GGA-PBE geometry in the Materials Project, the XRD peak list of U3Te5Pb8O32 was calculated for Cu Kα (weighted mean of Kα1 and Kα2).
Lines closer than 0.1° are merged.

```
data_U3Te5Pb8O32
_chemical_formula_sum 'U3 Te5 Pb8 O32'
_cell_length_a 5.8762
_cell_length_b 7.9377
_cell_length_c 15.5962
_cell_angle_alpha 90.05
_cell_angle_beta 90.38
_cell_angle_gamma 90.38
_symmetry_space_group_name_H-M 'P -1'
_symmetry_Int_Tables_number 2
loop_
_symmetry_equiv_pos_as_xyz
'x,y,z'
'-x,-y,-z'
loop_
_atom_site_label
_atom_site_type_symbol
_atom_site_fract_x
_atom_site_fract_y
_atom_site_fract_z
U1 U 0.0000 0.0000 0.0000
U2 U 0.0008 0.4993 0.2508
Te1 Te 0.0000 0.0000 0.5000
Te2 Te 0.0000 0.5000 0.0000
Te3 Te 0.0000 0.5000 0.5000
Te4 Te 0.0037 0.9986 0.2537
Pb1 Pb 0.4850 0.1846 0.3431
Pb2 Pb 0.4904 0.1875 0.8337
Pb3 Pb 0.4915 0.6871 0.9153
Pb4 Pb 0.4914 0.7073 0.4187
O1 O 0.1066 0.7495 0.4871
O2 O 0.1102 0.2336 0.7613
O3 O 0.1106 0.7342 0.9859
O4 O 0.1132 0.2322 0.2670
O5 O 0.1220 0.9984 0.6244
O6 O 0.1268 0.9957 0.1356
O7 O 0.1296 0.4960 0.6161
O8 O 0.1325 0.4959 0.1163
O9 O 0.2950 0.0650 0.9658
O10 O 0.2947 0.5656 0.7839
O11 O 0.2947 0.5672 0.2835
O12 O 0.2952 0.9346 0.7835
O13 O 0.2962 0.4322 0.9585
O14 O 0.2964 0.4437 0.4589
O15 O 0.2967 0.0644 0.4698
O16 O 0.3012 0.9299 0.2932
```

Peak list (12 most intense, 2θ from 5° to 70°, by angle)
d = 3.537 Å, I = 35
d = 3.499 Å, I = 56
d = 3.299 Å, I = 100
d = 3.279 Å, I = 86
d = 3.259 Å, I = 71
d = 3.239 Å, I = 68
d = 3.021 Å, I = 45
d = 3.007 Å, I = 38
d = 2.938 Å, I = 86
d = 2.783 Å, I = 34
d = 2.780 Å, I = 32
d = 1.751 Å, I = 31